(1)
For SmTi2H, a cell relaxed with PBE gives the simulated XRD peak list in this record (Cu Kα, 1.54184 Å).
Peak positions follow from Bragg's law for the DFT cell and can differ from measured ones.

Atomic structure:
Cell lengths 3.075, 3.075, 24.546 Å; angles 90.00, 90.00, 120.00 degrees
Atoms (fractional coordinates):
Sm  0.000  0.000  0.000
Sm  0.333  0.667  0.667
Sm  0.667  0.333  0.333
Ti  0.000  0.000  0.121
Ti  0.000  0.000  0.879
Ti  0.333  0.667  0.545
Ti  0.333  0.667  0.788
Ti  0.667  0.333  0.212
Ti  0.667  0.333  0.455
H  0.000  0.000  0.500
H  0.333  0.667  0.167
H  0.667  0.333  0.833

Top 10 peaks for 2θ = 5–70°, by angle:
Position (°2θ)  Rel. int.
10.81  66
21.72  41
32.84  40
33.85  100
34.46  49
42.63  46
45.08  56
50.57  20
60.18  23
64.77  12

(2)
For NaSiSbCO7, a cell relaxed with PBE gives the simulated XRD peak list in this record (Cu Kα, 1.54184 Å).
Peak positions follow from Bragg's law for the DFT cell and can differ from measured ones.

Atomic structure:
Cell lengths 5.318, 6.494, 9.618 Å; angles 90.00, 90.74, 90.00 degrees
Atoms (fractional coordinates):
Na  0.202  0.000  0.302
Na  0.798  0.500  0.698
Si  0.280  0.707  0.936
Si  0.720  0.207  0.064
Sb  0.219  0.202  0.850
Sb  0.781  0.702  0.150
C  0.316  0.212  0.594
C  0.684  0.712  0.406
O  0.083  0.211  0.647
O  0.127  0.714  0.083
O  0.203  0.509  0.839
O  0.216  0.902  0.835
O  0.365  0.204  0.469
O  0.416  0.199  0.024
O  0.491  0.222  0.697
O  0.509  0.722  0.303
O  0.584  0.699  0.976
O  0.635  0.704  0.531
O  0.784  0.402  0.165
O  0.797  0.009  0.161
O  0.873  0.214  0.917
O  0.917  0.711  0.353

Top 10 peaks for 2θ = 5–70°, by angle:
Position (°2θ)  Rel. int.
9.20  100
16.47  73
18.97  21
19.18  38
21.60  42
24.80  36
25.13  14
27.47  33
33.72  27
35.68  18

(3)
For PmSiOs, a cell relaxed with PBE gives the simulated XRD peak list in this record (Cu Kα, 1.54184 Å).
Peak positions follow from Bragg's law for the DFT cell and can differ from measured ones.

Atomic structure:
Cell lengths 4.124, 4.124, 4.251 Å; angles 90.00, 90.00, 120.00 degrees
Atoms (fractional coordinates):
Pm  0.000  0.000  0.000
Si  0.333  0.667  0.500
Os  0.667  0.333  0.500

Top 10 peaks for 2θ = 5–70°, by angle:
Position (°2θ)  Rel. int.
20.90  3
24.93  24
32.75  100
42.54  13
43.90  35
49.93  8
51.15  4
55.84  22
62.78  24
68.64  3

(4)
For CeMg12, a cell relaxed with PBE gives the simulated XRD peak list in this record (Cu Kα, 1.54184 Å).
Peak positions follow from Bragg's law for the DFT cell and can differ from measured ones.

Atomic structure:
Cell lengths 7.831, 7.831, 7.831 Å; angles 98.35, 98.35, 135.21 degrees
Atoms (fractional coordinates):
Ce  0.000  0.000  0.000
Mg  0.000  0.000  0.500
Mg  0.000  0.351  0.351
Mg  0.000  0.500  0.000
Mg  0.000  0.649  0.649
Mg  0.287  0.500  0.787
Mg  0.351  0.000  0.351
Mg  0.500  0.000  0.000
Mg  0.500  0.287  0.787
Mg  0.500  0.500  0.500
Mg  0.500  0.713  0.213
Mg  0.649  0.000  0.649
Mg  0.713  0.500  0.213

Top 10 peaks for 2θ = 5–70°, by angle:
Position (°2θ)  Rel. int.
12.23  34
17.20  29
24.52  54
27.55  19
30.17  40
34.80  45
35.01  100
56.48  17
62.72  14
62.85  14